Starting from DFT lattice parameters and positions (PBE), the PXRD pattern of DyTm2PaAs4 was computed for Cu Ka.

Cell and atoms:
```
data_DyTm2PaAs4
_cell_length_a 7.050
_cell_length_b 4.088
_cell_length_c 7.066
_cell_angle_alpha 90.00
_cell_angle_beta 109.49
_cell_angle_gamma 90.00
_symmetry_space_group_name_H-M 'P 1 2/m 1'
_symmetry_Int_Tables_number 10
loop_
_symmetry_equiv_pos_as_xyz
'x,y,z'
'-x,-y,-z'
'-x,y,-z'
'x,-y,z'
loop_
_atom_site_label
_atom_site_type_symbol
_atom_site_fract_x
_atom_site_fract_y
_atom_site_fract_z
_atom_site_occupancy
Dy1 Dy 0.000 0.000 0.000 1
Tm1 Tm 0.500 0.000 0.500 1
Tm2 Tm 0.500 0.500 0.000 1
Pa1 Pa 0.000 0.500 0.500 1
As1 As 0.252 0.000 0.750 1
As2 As 0.252 0.500 0.253 1
```

Most intense lines, 5 to 70 degrees two-theta, sorted by position:
h k l	d/Å	intensity
2 0 0	3.331	30
1 1 1	2.884	100
0 2 0	2.042	38
2 0 2	2.037	37
0 0 4	1.667	20
2 2 2	1.442	12


Starting from DFT lattice parameters and positions (PBE), the PXRD pattern of Dy2UPaAs4 was computed for Cu Ka.

Cell and atoms:
```
data_Dy2UPaAs4
_cell_length_a 7.080
_cell_length_b 4.092
_cell_length_c 7.159
_cell_angle_alpha 90.00
_cell_angle_beta 109.30
_cell_angle_gamma 90.00
_symmetry_space_group_name_H-M 'P 1 2/m 1'
_symmetry_Int_Tables_number 10
loop_
_symmetry_equiv_pos_as_xyz
'x,y,z'
'-x,-y,-z'
'-x,y,-z'
'x,-y,z'
loop_
_atom_site_label
_atom_site_type_symbol
_atom_site_fract_x
_atom_site_fract_y
_atom_site_fract_z
_atom_site_occupancy
Dy1 Dy 0.000 0.000 0.000 1
Dy2 Dy 0.500 0.500 0.000 1
U1 U 0.000 0.500 0.500 1
Pa1 Pa 0.500 0.000 0.500 1
As1 As 0.250 0.000 0.749 1
As2 As 0.251 0.500 0.251 1
```

Most intense lines, 5 to 70 degrees two-theta, sorted by position:
h k l	d/Å	intensity
2 0 0	3.344	26
1 1 1	2.903	100
2 0 2	2.061	38
0 2 0	2.045	37
4 0 0	1.672	20
2 2 2	1.452	12


Starting from DFT lattice parameters and positions (PBE), the PXRD pattern of DyAsPb was computed for Cu Ka.

Cell and atoms:
```
data_DyAsPb
_cell_length_a 7.177
_cell_length_b 7.177
_cell_length_c 7.177
_cell_angle_alpha 90.00
_cell_angle_beta 90.00
_cell_angle_gamma 90.00
_symmetry_space_group_name_H-M 'P 21 3'
_symmetry_Int_Tables_number 198
_symmetry_space_group_name_Hall 'P 2ac 2ab 3'
loop_
_atom_site_label
_atom_site_type_symbol
_atom_site_fract_x
_atom_site_fract_y
_atom_site_fract_z
_atom_site_occupancy
Dy1 Dy 0.027 0.027 0.027 1
As1 As 0.168 0.832 0.332 1
Pb1 Pb 0.061 0.561 0.939 1
```

Most intense lines, 5 to 70 degrees two-theta, sorted by position:
h k l	d/Å	intensity
2 0 0	3.588	100
2 0 1	3.209	75
2 1 1	2.930	34
2 2 0	2.537	88
2 2 1	2.392	54
4 0 1	1.741	48


Starting from DFT lattice parameters and positions (PBE), the PXRD pattern of Dy4Sb2AsPb was computed for Cu Ka.

Cell and atoms:
```
data_Dy4Sb2AsPb
_cell_length_a 7.386
_cell_length_b 4.284
_cell_length_c 7.686
_cell_angle_alpha 90.00
_cell_angle_beta 108.91
_cell_angle_gamma 90.00
_symmetry_space_group_name_H-M 'P 1 2/m 1'
_symmetry_Int_Tables_number 10
loop_
_symmetry_equiv_pos_as_xyz
'x,y,z'
'-x,-y,-z'
'-x,y,-z'
'x,-y,z'
loop_
_atom_site_label
_atom_site_type_symbol
_atom_site_fract_x
_atom_site_fract_y
_atom_site_fract_z
_atom_site_occupancy
Dy1 Dy 0.238 0.000 0.234 1
Dy2 Dy 0.247 0.500 0.763 1
Sb1 Sb 0.500 0.000 0.000 1
Sb2 Sb 0.500 0.500 0.500 1
As1 As 0.000 0.500 0.000 1
Pb1 Pb 0.000 0.000 0.500 1
```

Most intense lines, 5 to 70 degrees two-theta, sorted by position:
h k l	d/Å	intensity
1 1 1	3.063	100
1 1 -3	2.198	26
2 0 2	2.190	13
3 1 -1	2.135	24
2 2 -2	1.756	13
2 2 2	1.531	13


Starting from DFT lattice parameters and positions (PBE), the PXRD pattern of Dy2As7Pd12 was computed for Cu Ka.

Cell and atoms:
```
data_Dy2As7Pd12
_cell_length_a 10.1325
_cell_length_b 10.1325
_cell_length_c 4.0690
_cell_angle_alpha 90.00
_cell_angle_beta 90.00
_cell_angle_gamma 120.00
_symmetry_space_group_name_H-M 'P -3'
_symmetry_Int_Tables_number 147
loop_
_symmetry_equiv_pos_as_xyz
'x,y,z'
'-x,-y,-z'
'-y,x-y,z'
'y,-x+y,-z'
'-x+y,-x,z'
'x-y,x,-z'
loop_
_atom_site_label
_atom_site_type_symbol
_atom_site_fract_x
_atom_site_fract_y
_atom_site_fract_z
_atom_site_occupancy
Dy1 Dy 0.3333 0.6667 0.2482 1
As1 As 0.0000 0.0000 0.5000 1
As2 As 0.1193 0.4123 0.7451 1
Pd1 Pd 0.0625 0.6220 0.7473 1
Pd2 Pd 0.1120 0.8577 0.2308 1
```

Most intense lines, 5 to 70 degrees two-theta, sorted by position:
h k l	d/Å	intensity
3 -1 1	2.571	100
3 0 1	2.375	10
3 1 1	2.089	14
0 0 2	2.034	18
4 1 0	1.915	24
5 -4 2	1.394	13


Starting from DFT lattice parameters and positions (PBE), the PXRD pattern of DyAs2Pd2 was computed for Cu Ka.

Cell and atoms:
```
data_DyAs2Pd2
_cell_length_a 4.130
_cell_length_b 11.618
_cell_length_c 7.891
_cell_angle_alpha 90.00
_cell_angle_beta 90.00
_cell_angle_gamma 90.00
_symmetry_space_group_name_H-M 'C m c 21'
_symmetry_Int_Tables_number 36
loop_
_symmetry_equiv_pos_as_xyz
'x,y,z'
'-x,-y,z+1/2'
'-x,y,z'
'x,-y,z+1/2'
'x+1/2,y+1/2,z'
'-x+1/2,-y+1/2,z+1/2'
'-x+1/2,y+1/2,z'
'x+1/2,-y+1/2,z+1/2'
loop_
_atom_site_label
_atom_site_type_symbol
_atom_site_fract_x
_atom_site_fract_y
_atom_site_fract_z
_atom_site_occupancy
Dy1 Dy 0.000 0.100 0.000 1
As1 As 0.000 0.242 0.316 1
As2 As 0.000 0.451 0.154 1
Pd1 Pd 0.000 0.180 0.634 1
Pd2 Pd 0.000 0.385 0.847 1
```

Most intense lines, 5 to 70 degrees two-theta, sorted by position:
h k l	d/Å	intensity
1 1 2	2.770	42
1 3 1	2.660	100
0 2 3	2.396	60
1 3 2	2.297	29
2 0 0	2.065	38
2 2 3	1.564	32


Starting from DFT lattice parameters and positions (PBE), the PXRD pattern of Dy3As2Pd2Rh5 was computed for Cu Ka.

Cell and atoms:
```
data_Dy3As2Pd2Rh5
_cell_length_a 4.044
_cell_length_b 4.044
_cell_length_c 26.468
_cell_angle_alpha 90.00
_cell_angle_beta 90.00
_cell_angle_gamma 90.00
_symmetry_space_group_name_H-M 'I 4/m m m'
_symmetry_Int_Tables_number 139
_symmetry_space_group_name_Hall '-I 4 2'
loop_
_atom_site_label
_atom_site_type_symbol
_atom_site_fract_x
_atom_site_fract_y
_atom_site_fract_z
_atom_site_occupancy
Dy1 Dy 0.000 0.000 0.000 1
Dy2 Dy 0.000 0.000 0.167 1
As1 As 0.000 0.000 0.370 1
Pd1 Pd 0.000 0.000 0.275 1
Rh1 Rh 0.000 0.000 0.500 1
Rh2 Rh 0.000 0.500 0.079 1
```

Most intense lines, 5 to 70 degrees two-theta, sorted by position:
h k l	d/Å	intensity
1 1 0	2.859	28
1 1 6	2.399	100
1 0 9	2.378	36
1 1 8	2.163	32
1 0 11	2.068	25
2 0 0	2.022	69


Starting from DFT lattice parameters and positions (PBE), the PXRD pattern of SrDyAs2Pd4 was computed for Cu Ka.

Cell and atoms:
```
data_SrDyAs2Pd4
_cell_length_a 4.156
_cell_length_b 4.156
_cell_length_c 10.029
_cell_angle_alpha 90.00
_cell_angle_beta 90.00
_cell_angle_gamma 90.00
_symmetry_space_group_name_H-M 'P 4/m m m'
_symmetry_Int_Tables_number 123
_symmetry_space_group_name_Hall '-P 4 2'
loop_
_atom_site_label
_atom_site_type_symbol
_atom_site_fract_x
_atom_site_fract_y
_atom_site_fract_z
_atom_site_occupancy
Sr1 Sr 0.000 0.000 0.000 1
Dy1 Dy 0.000 0.000 0.500 1
As1 As 0.500 0.500 0.161 1
Pd1 Pd 0.000 0.500 0.297 1
```

Most intense lines, 5 to 70 degrees two-theta, sorted by position:
h k l	d/Å	intensity
0 0 1	10.029	29
1 0 2	3.200	65
1 1 2	2.535	100
1 1 3	2.207	73
1 0 4	2.147	25
2 0 0	2.078	67


Starting from DFT lattice parameters and positions (PBE), the PXRD pattern of Pm3DyAs4 was computed for Cu Ka.

Cell and atoms:
```
data_Pm3DyAs4
_cell_length_a 5.951
_cell_length_b 5.951
_cell_length_c 5.951
_cell_angle_alpha 90.00
_cell_angle_beta 90.00
_cell_angle_gamma 90.00
_symmetry_space_group_name_H-M 'P m -3 m'
_symmetry_Int_Tables_number 221
_symmetry_space_group_name_Hall '-P 4 2 3'
loop_
_atom_site_label
_atom_site_type_symbol
_atom_site_fract_x
_atom_site_fract_y
_atom_site_fract_z
_atom_site_occupancy
Pm1 Pm 0.000 0.000 0.500 1
Dy1 Dy 0.500 0.500 0.500 1
As1 As 0.000 0.000 0.000 1
As2 As 0.000 0.500 0.500 1
```

Most intense lines, 5 to 70 degrees two-theta, sorted by position:
h k l	d/Å	intensity
1 1 1	3.436	19
2 0 0	2.976	100
2 2 0	2.104	75
3 1 1	1.794	10
2 2 2	1.718	26
4 0 0	1.488	12


Starting from DFT lattice parameters and positions (PBE), the PXRD pattern of Pm2Dy3TmAs6 was computed for Cu Ka.

Cell and atoms:
```
data_Pm2Dy3TmAs6
_cell_length_a 18.088
_cell_length_b 4.152
_cell_length_c 8.299
_cell_angle_alpha 90.00
_cell_angle_beta 103.26
_cell_angle_gamma 90.00
_symmetry_space_group_name_H-M 'C 1 2/m 1'
_symmetry_Int_Tables_number 12
loop_
_symmetry_equiv_pos_as_xyz
'x,y,z'
'-x,-y,-z'
'-x,y,-z'
'x,-y,z'
'x+1/2,y+1/2,z'
'-x+1/2,-y+1/2,-z'
'-x+1/2,y+1/2,-z'
'x+1/2,-y+1/2,z'
loop_
_atom_site_label
_atom_site_type_symbol
_atom_site_fract_x
_atom_site_fract_y
_atom_site_fract_z
_atom_site_occupancy
Pm1 Pm 0.166 0.000 0.332 1
Dy1 Dy 0.000 0.500 0.500 1
Dy2 Dy 0.167 0.000 0.834 1
Tm1 Tm 0.000 0.500 0.000 1
As1 As 0.002 0.000 0.754 1
As2 As 0.165 0.500 0.077 1
As3 As 0.165 0.500 0.587 1
```

Most intense lines, 5 to 70 degrees two-theta, sorted by position:
h k l	d/Å	intensity
2 0 2	3.389	22
6 0 0	2.935	100
0 2 0	2.075	75
1 1 4	1.770	11
6 2 0	1.694	26
2 2 -4	1.467	12


Starting from DFT lattice parameters and positions (PBE), the PXRD pattern of Pr2DyAs3 was computed for Cu Ka.

Cell and atoms:
```
data_Pr2DyAs3
_cell_length_a 4.250
_cell_length_b 4.250
_cell_length_c 18.016
_cell_angle_alpha 90.00
_cell_angle_beta 90.00
_cell_angle_gamma 90.00
_symmetry_space_group_name_H-M 'I 4/m m m'
_symmetry_Int_Tables_number 139
_symmetry_space_group_name_Hall '-I 4 2'
loop_
_atom_site_label
_atom_site_type_symbol
_atom_site_fract_x
_atom_site_fract_y
_atom_site_fract_z
_atom_site_occupancy
Pr1 Pr 0.000 0.000 0.166 1
Dy1 Dy 0.000 0.000 0.500 1
As1 As 0.000 0.000 0.000 1
As2 As 0.000 0.000 0.337 1
```

Most intense lines, 5 to 70 degrees two-theta, sorted by position:
h k l	d/Å	intensity
1 0 3	3.469	19
1 1 0	3.005	100
2 0 0	2.125	75
2 0 6	1.735	27
2 2 0	1.502	12
3 1 0	1.344	11


Starting from DFT lattice parameters and positions (PBE), the PXRD pattern of Pr2DyAs was computed for Cu Ka.

Cell and atoms:
```
data_Pr2DyAs
_cell_length_a 4.0185
_cell_length_b 4.0185
_cell_length_c 28.6447
_cell_angle_alpha 90.00
_cell_angle_beta 90.00
_cell_angle_gamma 120.00
_symmetry_space_group_name_H-M 'R -3 m'
_symmetry_Int_Tables_number 166
_symmetry_space_group_name_Hall '-R 3 2"'
loop_
_atom_site_label
_atom_site_type_symbol
_atom_site_fract_x
_atom_site_fract_y
_atom_site_fract_z
_atom_site_occupancy
Pr1 Pr 0.0000 0.0000 0.2299 1
Dy1 Dy 0.0000 0.0000 0.0000 1
As1 As 0.0000 0.0000 0.5000 1
```

Most intense lines, 5 to 70 degrees two-theta, sorted by position:
h k l	d/Å	intensity
0 0 9	3.183	17
1 0 4	3.130	100
0 1 5	2.974	23
0 1 8	2.496	34
1 1 0	2.009	33
1 1 9	1.699	17


Starting from DFT lattice parameters and positions (PBE), the PXRD pattern of Pr2DyTe2As2 was computed for Cu Ka.

Cell and atoms:
```
data_Pr2DyTe2As2
_cell_length_a 5.330
_cell_length_b 5.330
_cell_length_c 15.899
_cell_angle_alpha 90.00
_cell_angle_beta 90.00
_cell_angle_gamma 90.00
_symmetry_space_group_name_H-M 'I 4/m m m'
_symmetry_Int_Tables_number 139
_symmetry_space_group_name_Hall '-I 4 2'
loop_
_atom_site_label
_atom_site_type_symbol
_atom_site_fract_x
_atom_site_fract_y
_atom_site_fract_z
_atom_site_occupancy
Pr1 Pr 0.000 0.000 0.114 1
Dy1 Dy 0.000 0.000 0.500 1
Te1 Te 0.000 0.000 0.309 1
As1 As 0.000 0.500 0.000 1
```

Most intense lines, 5 to 70 degrees two-theta, sorted by position:
h k l	d/Å	intensity
1 1 0	3.768	72
1 0 5	2.731	100
2 0 0	2.665	69
2 1 5	1.907	61
2 2 0	1.884	25
3 0 5	1.551	20


Starting from DFT lattice parameters and positions (PBE), the PXRD pattern of PrDyTm2As4 was computed for Cu Ka.

Cell and atoms:
```
data_PrDyTm2As4
_cell_length_a 7.167
_cell_length_b 4.144
_cell_length_c 7.172
_cell_angle_alpha 90.00
_cell_angle_beta 109.48
_cell_angle_gamma 90.00
_symmetry_space_group_name_H-M 'P 1 2/m 1'
_symmetry_Int_Tables_number 10
loop_
_symmetry_equiv_pos_as_xyz
'x,y,z'
'-x,-y,-z'
'-x,y,-z'
'x,-y,z'
loop_
_atom_site_label
_atom_site_type_symbol
_atom_site_fract_x
_atom_site_fract_y
_atom_site_fract_z
_atom_site_occupancy
Pr1 Pr 0.000 0.000 0.000 1
Dy1 Dy 0.000 0.500 0.500 1
Tm1 Tm 0.500 0.000 0.500 1
Tm2 Tm 0.500 0.500 0.000 1
As1 As 0.257 0.000 0.747 1
As2 As 0.261 0.500 0.259 1
```

Most intense lines, 5 to 70 degrees two-theta, sorted by position:
h k l	d/Å	intensity
2 0 0	3.381	23
1 1 1	2.928	100
0 2 0	2.070	75
3 1 1	1.766	12
2 2 -2	1.690	26
2 2 2	1.464	12